Computed powder diffraction line list of PuGaAuO6 for CuKα, from a DFT-relaxed cell (PBE, Alexandria).
Kinematic intensities with the Lorentz-polarization factor, no thermal factor.

Crystal structure
```
18
Lattice="5.3106 0.0000 0.0000 -2.6553 4.5991 0.0000 0.0000 0.0000 9.4872" Properties=species:S:1:pos:R:3 pbc="T T T"
Pu 0.0000 3.0661 2.3718
Pu 2.6553 1.5330 7.1154
Ga 0.0000 3.0661 7.1154
Ga 2.6553 1.5330 2.3718
Au 0.0000 0.0000 0.0000
Au 0.0000 0.0000 4.7436
O -0.9304 1.6417 6.0252
O -1.6988 2.9725 8.2056
O 0.9304 1.6417 8.2056
O -0.7684 4.5840 6.0252
O 1.8869 0.0151 1.2816
O 0.9565 1.6266 3.4620
O 1.6988 2.9725 6.0252
O 0.7684 4.5840 8.2056
O 3.4236 0.0151 3.4620
O 1.7249 2.9574 1.2816
O 4.3541 1.6266 1.2816
O 3.5857 2.9574 3.4620
```

Peak list (10 most intense, 10 to 90 degrees two-theta, in order of falling intensity)
- hkl 1 0 2, d = 3.302 Å, rel. 100
- hkl 1 1 0, d = 2.655 Å, rel. 47
- hkl 1 1 4, d = 1.769 Å, rel. 41
- hkl 2 0 2, d = 2.069 Å, rel. 28
- hkl 2 1 2, d = 1.632 Å, rel. 27
- hkl 1 0 1, d = 4.138 Å, rel. 26
- hkl 3 0 0, d = 1.533 Å, rel. 15
- hkl 4 -1 2, d = 1.232 Å, rel. 11
- hkl 4 -2 4, d = 1.158 Å, rel. 10
- hkl 1 0 6, d = 1.495 Å, rel. 10